Entry 1:
Diffraction record for AgRu. The X-ray diffraction stick pattern is calculated, not measured: it uses DFT lattice parameters and positions (PBE) and λ = 1.5418 Å (Cu Kα).

Atomic structure:
a b c (Å): 2.814 4.711 9.732
angles (deg): 90.00 90.00 90.00
Fractional coordinates of all 8 atoms:
Ag: 0.000 0.250 0.131
Ag: 0.000 0.750 0.869
Ag: 0.500 0.250 0.869
Ag: 0.500 0.750 0.131
Ru: 0.000 0.250 0.609
Ru: 0.000 0.750 0.391
Ru: 0.500 0.250 0.391
Ru: 0.500 0.750 0.609

Top 10 peaks for 10° ≤ 2θ ≤ 90°, by angle:
2θ 36.9, intensity 33, (0 0 4); 2θ 38.2, intensity 33, (0 2 0); 2θ 41.7, intensity 100, (1 1 2); 2θ 54.2, intensity 21, (0 2 4); 2θ 66.4, intensity 6, (2 0 0); 2θ 69.8, intensity 17, (1 1 6); 2θ 71.5, intensity 19, (1 3 2); 2θ 78.5, intensity 7, (2 0 4); 2θ 79.3, intensity 7, (2 2 0); 2θ 81.8, intensity 3, (0 4 0)

Entry 2:
Diffraction record for Ag5Ru. The X-ray diffraction stick pattern is calculated, not measured: it uses DFT lattice parameters and positions (PBE) and λ = 1.5418 Å (Cu Kα).

Atomic structure:
a b c (Å): 10.946 2.782 6.980
angles (deg): 90.00 105.16 90.00
Fractional coordinates of all 12 atoms:
Ag: 0.000 0.000 0.000
Ag: 0.058 0.000 0.610
Ag: 0.171 0.500 0.327
Ag: 0.230 0.500 0.952
Ag: 0.335 0.000 0.660
Ag: 0.500 0.500 0.000
Ag: 0.558 0.500 0.610
Ag: 0.671 0.000 0.327
Ag: 0.730 0.000 0.952
Ag: 0.835 0.500 0.660
Ru: 0.395 0.000 0.281
Ru: 0.895 0.500 0.281

Top 10 peaks for 10° ≤ 2θ ≤ 90°, by angle:
2θ 35.1, intensity 22, (2 0 2); 2θ 36.8, intensity 55, (1 1 1); 2θ 37.4, intensity 93, (4 0 -2); 2θ 39.8, intensity 62, (4 0 1); 2θ 40.2, intensity 61, (0 0 3); 2θ 41.4, intensity 100, (3 1 0); 2θ 41.5, intensity 98, (1 1 -2); 2θ 64.1, intensity 35, (3 1 3); 2θ 77.0, intensity 27, (1 1 -5); 2θ 79.6, intensity 28, (4 2 -2)

Entry 3:
Diffraction record for Ag3Ru. The X-ray diffraction stick pattern is calculated, not measured: it uses DFT lattice parameters and positions (PBE) and λ = 1.5418 Å (Cu Kα).

Atomic structure:
a b c (Å): 9.674 2.715 5.148
angles (deg): 90.00 98.17 90.00
Fractional coordinates of all 8 atoms:
Ag: 0.000 0.000 0.000
Ag: 0.247 0.000 0.744
Ag: 0.253 0.500 0.256
Ag: 0.500 0.500 0.000
Ag: 0.747 0.500 0.744
Ag: 0.753 0.000 0.256
Ru: 0.000 0.500 0.500
Ru: 0.500 0.000 0.500

Top 10 peaks for 10° ≤ 2θ ≤ 90°, by angle:
2θ 37.6, intensity 100, (2 0 -2); 2θ 39.4, intensity 87, (1 1 1); 2θ 42.5, intensity 35, (2 0 2); 2θ 45.8, intensity 56, (3 1 -1); 2θ 64.3, intensity 48, (6 0 -2); 2θ 74.5, intensity 12, (0 0 4); 2θ 75.6, intensity 12, (3 1 3); 2θ 78.1, intensity 22, (5 1 -3); 2θ 80.2, intensity 10, (4 0 -4); 2θ 81.5, intensity 20, (2 2 -2)